# 1
Structure and simulated XRD peak list of Hg3F (a crystal structure in Alexandria, relaxed with GGA-PBE; Cu Ka).
No peak broadening, texture or thermal motion is included.

The 8 most intense peaks (10° ≤ 2θ ≤ 90°), in order of rising 2θ:
3.992 Å, 2θ 22.3, rel. 43, (0 1 1)
3.333 Å, 2θ 26.7, rel. 29, (1 0 1)
2.928 Å, 2θ 30.5, rel. 100, (0 2 0)
2.861 Å, 2θ 31.3, rel. 87, (2 0 -1)
2.729 Å, 2θ 32.8, rel. 81, (0 0 2)
2.046 Å, 2θ 44.3, rel. 68, (2 2 -1)
1.996 Å, 2θ 45.4, rel. 66, (0 2 2)
1.295 Å, 2θ 73.0, rel. 31, (4 2 -1)

Cell: 5.804 5.856 5.805 Å, 90.00 109.91 90.00°
Space group P2_1/m (No. 11)
Unique sites:
Hg: 0.161 0.250 0.163
Hg: 0.286 0.750 0.689
Hg: 0.312 0.250 0.716
F: 0.228 0.750 0.230

=====

# 2
Structure and simulated XRD peak list of HoHgF6 (a crystal structure in Alexandria, relaxed with GGA-PBE; Cu Ka).
No peak broadening, texture or thermal motion is included.

The 8 most intense peaks (10° ≤ 2θ ≤ 90°), in order of rising 2θ:
3.812 Å, 2θ 23.3, rel. 100, (0 2 1)
3.198 Å, 2θ 27.9, rel. 60, (2 2 0)
3.176 Å, 2θ 28.1, rel. 47, (2 0 1)
2.067 Å, 2θ 43.8, rel. 44, (2 4 1)
2.049 Å, 2θ 44.2, rel. 31, (2 2 2)
1.906 Å, 2θ 47.7, rel. 18, (0 4 2)
1.754 Å, 2θ 52.2, rel. 23, (4 2 1)
1.649 Å, 2θ 55.7, rel. 14, (2 6 0)

Cell: 7.902 10.889 5.339 Å, 90.00 90.00 90.00°
Space group Cmme (No. 67)
Unique sites:
Ho: 0.250 0.000 0.000
Hg: 0.000 0.250 0.450
F: 0.000 0.100 0.140
F: 0.175 0.126 0.701